Calculated powder diffractogram of Li2MnF4 for Cu Kα X-rays, from a DFT-relaxed cell (GGA+U, Alexandria).

Structural model:
a = 6.0686 Å, b = 12.3497 Å, c = 8.5645 Å
α = 90.00°, β = 90.00°, γ = 90.00°
Space group Imma (No. 74)
Asymmetric unit:
Li 0.0000 0.0000 0.0000
Li 0.0000 0.2500 0.0056
Li 0.2500 0.1370 0.2500
Mn 0.0000 0.1128 0.6235
F 0.0000 0.0182 0.2396
F 0.0000 0.2500 0.2389
F 0.0000 0.2500 0.7601
F 0.2273 0.1240 0.0077

Peak list (10 most intense, 10° ≤ 2θ ≤ 80°, by angle)
| h k l | Position (°2θ) | intensity |
| --- | --- | --- |
| 0 1 1 | 12.58 | 63 |
| 1 0 1 | 17.91 | 64 |
| 1 1 2 | 26.48 | 100 |
| 2 1 1 | 32.14 | 51 |
| 1 3 2 | 33.62 | 88 |
| 1 4 1 | 34.23 | 57 |
| 0 4 2 | 35.86 | 70 |
| 2 0 2 | 36.29 | 64 |
| 0 3 3 | 38.34 | 45 |
| 2 4 4 | 60.86 | 96 |